[1]
The following is a theoretical powder XRD pattern of Ta2Zn4O9. It was derived from a GGA-PBE-relaxed structure, using a wavelength of 1.5418 Å.
Lines closer than 0.1° are merged.

The 12 most intense peaks (15 to 90 degrees two-theta), low angle first:
19.6°, rel. 47; 23.1°, rel. 13; 28.8°, rel. 11; 31.6°, rel. 100; 34.3°, rel. 76; 47.3°, rel. 34; 51.4°, rel. 21; 51.5°, rel. 11; 59.6°, rel. 19; 59.8°, rel. 12; 61.4°, rel. 16; 67.8°, rel. 14

Crystal structure
```
Ta2Zn4O9
1.0
9.080 0.000 0.000
0.000 5.227 0.000
0.000 0.000 14.513
Ta Zn O
8 16 36
Direct
0.018 0.001 0.142
0.018 0.999 0.642
0.482 0.499 0.642
0.482 0.501 0.142
0.518 0.499 0.858
0.518 0.501 0.358
0.982 0.001 0.358
0.982 0.999 0.858
0.163 0.497 0.002
0.163 0.503 0.502
0.165 0.497 0.799
0.165 0.503 0.299
0.335 0.003 0.299
0.335 0.997 0.799
0.337 0.003 0.502
0.337 0.997 0.002
0.663 0.003 0.998
0.663 0.997 0.498
0.665 0.003 0.201
0.665 0.997 0.701
0.835 0.497 0.701
0.835 0.503 0.201
0.837 0.497 0.498
0.837 0.503 0.998
0.000 0.281 0.750
0.000 0.719 0.250
0.007 0.327 0.415
0.007 0.673 0.915
0.143 0.144 0.250
0.143 0.856 0.750
0.159 0.176 0.904
0.159 0.824 0.404
0.167 0.156 0.573
0.167 0.844 0.073
0.333 0.344 0.073
0.333 0.656 0.573
0.341 0.324 0.404
0.341 0.676 0.904
0.357 0.356 0.750
0.357 0.644 0.250
0.493 0.173 0.915
0.493 0.827 0.415
0.500 0.219 0.250
0.500 0.781 0.750
0.507 0.173 0.585
0.507 0.827 0.085
0.643 0.356 0.750
0.643 0.644 0.250
0.659 0.324 0.096
0.659 0.676 0.596
0.667 0.344 0.427
0.667 0.656 0.927
0.833 0.156 0.927
0.833 0.844 0.427
0.841 0.176 0.596
0.841 0.824 0.096
0.857 0.144 0.250
0.857 0.856 0.750
0.993 0.327 0.085
0.993 0.673 0.585
```

***

[2]
The following is a theoretical powder XRD pattern of ZrTaO5. It was derived from a GGA-PBE-relaxed structure, using a wavelength of 1.5418 Å.
Lines closer than 0.1° are merged.

The 12 most intense peaks (15 to 90 degrees two-theta), low angle first:
19.3°, rel. 17; 24.8°, rel. 100; 26.9°, rel. 38; 27.1°, rel. 37; 31.4°, rel. 14; 34.5°, rel. 10; 35.7°, rel. 11; 36.3°, rel. 26; 37.4°, rel. 13; 37.5°, rel. 11; 44.4°, rel. 15; 51.8°, rel. 10

Crystal structure
```
ZrTaO5
1.0
5.545 0.000 0.000
0.000 9.908 0.000
-2.597 0.000 6.969
Zr Ta O
4 4 20
Direct
0.067 0.023 0.237
0.067 0.477 0.737
0.933 0.523 0.263
0.933 0.977 0.763
0.437 0.240 0.098
0.437 0.260 0.598
0.563 0.740 0.402
0.563 0.760 0.902
0.030 0.074 0.521
0.030 0.426 0.021
0.131 0.108 0.990
0.131 0.392 0.490
0.292 0.630 0.363
0.292 0.870 0.863
0.327 0.202 0.323
0.327 0.298 0.823
0.390 0.596 0.811
0.390 0.904 0.311
0.610 0.096 0.689
0.610 0.404 0.189
0.673 0.702 0.177
0.673 0.798 0.677
0.708 0.130 0.137
0.708 0.370 0.637
0.869 0.608 0.510
0.869 0.892 0.010
0.970 0.574 0.979
0.970 0.926 0.479
```

***

[3]
The following is a theoretical powder XRD pattern of Tb4O. It was derived from a GGA-PBE-relaxed structure, using a wavelength of 1.5418 Å.
Lines closer than 0.1° are merged.

The 12 most intense peaks (15 to 90 degrees two-theta), low angle first:
29.5°, rel. 100; 29.6°, rel. 99; 34.2°, rel. 32; 34.3°, rel. 32; 34.4°, rel. 32; 49.2°, rel. 38; 49.4°, rel. 38; 58.3°, rel. 14; 58.5°, rel. 43; 58.6°, rel. 14; 58.8°, rel. 14; 61.3°, rel. 12

Crystal structure
```
Tb4O
1.0
5.869 -2.614 0.000
5.869 2.614 0.000
-4.671 0.000 9.313
Tb O
8 2
Direct
0.115 0.125 0.187
0.125 0.115 0.687
0.375 0.383 0.566
0.383 0.375 0.066
0.617 0.625 0.934
0.625 0.617 0.434
0.875 0.885 0.313
0.885 0.875 0.813
0.251 0.749 0.750
0.749 0.251 0.250
```

***

[4]
The following is a theoretical powder XRD pattern of Tb2O3. It was derived from a GGA-PBE-relaxed structure, using a wavelength of 1.5418 Å.
Lines closer than 0.1° are merged.

The 12 most intense peaks (15 to 90 degrees two-theta), low angle first:
28.3°, rel. 77; 28.5°, rel. 31; 30.2°, rel. 47; 31.7°, rel. 100; 35.0°, rel. 69; 39.2°, rel. 23; 41.9°, rel. 32; 50.1°, rel. 19; 53.4°, rel. 27; 58.6°, rel. 22; 64.7°, rel. 27; 86.0°, rel. 27

Crystal structure
```
Tb2O3
1.0
8.946 0.000 0.000
0.000 3.348 0.000
0.000 0.000 8.916
Tb O
8 12
Direct
0.004 0.250 0.185
0.187 0.250 0.511
0.313 0.750 0.011
0.496 0.750 0.685
0.504 0.250 0.315
0.687 0.250 0.989
0.813 0.750 0.489
0.996 0.750 0.815
0.046 0.750 0.372
0.115 0.250 0.943
0.226 0.750 0.688
0.274 0.250 0.188
0.385 0.750 0.443
0.454 0.250 0.872
0.546 0.750 0.128
0.615 0.250 0.557
0.726 0.750 0.812
0.774 0.250 0.312
0.885 0.750 0.057
0.954 0.250 0.628
```

***

[5]
The following is a theoretical powder XRD pattern of Tb2O. It was derived from a GGA-PBE-relaxed structure, using a wavelength of 1.5418 Å.
Lines closer than 0.1° are merged.

The 12 most intense peaks (15 to 90 degrees two-theta), low angle first:
30.9°, rel. 100; 35.8°, rel. 21; 35.9°, rel. 42; 51.5°, rel. 13; 51.7°, rel. 29; 61.2°, rel. 10; 61.4°, rel. 17; 61.5°, rel. 14; 64.5°, rel. 11; 84.3°, rel. 7; 86.9°, rel. 6; 87.1°, rel. 9

Crystal structure
```
Tb2O
1.0
3.067 -1.769 0.000
3.067 1.769 0.000
-2.071 0.000 5.794
Tb O
2 1
Direct
0.245 0.245 0.230
0.755 0.755 0.770
0.500 0.500 0.000
```

***

[6]
The following is a theoretical powder XRD pattern of TbTc2O8. It was derived from a GGA-PBE-relaxed structure, using a wavelength of 1.5418 Å.
Lines closer than 0.1° are merged.

The 12 most intense peaks (15 to 90 degrees two-theta), low angle first:
16.1°, rel. 59; 26.4°, rel. 100; 31.1°, rel. 12; 37.7°, rel. 8; 41.2°, rel. 22; 46.6°, rel. 39; 49.6°, rel. 6; 54.4°, rel. 20; 57.1°, rel. 10; 61.4°, rel. 16; 74.3°, rel. 21; 86.5°, rel. 11

Crystal structure
```
TbTc2O8
1.0
0.000 4.774 4.774
4.774 0.000 4.774
4.774 4.774 0.000
Tb Tc O
1 2 8
Direct
0.000 0.000 0.000
0.250 0.250 0.250
0.750 0.750 0.750
0.144 0.144 0.144
0.144 0.144 0.569
0.144 0.569 0.144
0.431 0.856 0.856
0.569 0.144 0.144
0.856 0.431 0.856
0.856 0.856 0.431
0.856 0.856 0.856
```